[1]
The following is a computed PXRD pattern of SbOF3. It was derived from a DFT-relaxed cell (PBE, Alexandria), using Cu Kα.

Top 12 peaks for 2θ from 5° to 70°, by intensity:
- 2θ 18.29, d = 4.850 Å, intensity 100
- 2θ 34.19, d = 2.622 Å, intensity 32
- 2θ 41.40, d = 2.181 Å, intensity 25
- 2θ 22.27, d = 3.992 Å, intensity 25
- 2θ 29.25, d = 3.053 Å, intensity 15
- 2θ 28.64, d = 3.117 Å, intensity 15
- 2θ 36.84, d = 2.440 Å, intensity 14
- 2θ 63.14, d = 1.472 Å, intensity 12
- 2θ 47.50, d = 1.914 Å, intensity 12
- 2θ 55.10, d = 1.667 Å, intensity 12
- 2θ 47.32, d = 1.921 Å, intensity 11
- 2θ 45.44, d = 1.996 Å, intensity 10

Structure:
```
data_SbOF3
_cell_length_a 6.2341
_cell_length_b 7.9833
_cell_length_c 6.1065
_cell_angle_alpha 90.00
_cell_angle_beta 90.00
_cell_angle_gamma 90.00
_symmetry_space_group_name_H-M 'I m m a'
_symmetry_Int_Tables_number 74
_symmetry_space_group_name_Hall '-I 2b 2'
loop_
_atom_site_label
_atom_site_type_symbol
_atom_site_fract_x
_atom_site_fract_y
_atom_site_fract_z
Sb1 Sb 0.2500 0.2500 0.2500
O1 O 0.0000 0.2500 0.0549
F1 F 0.0000 0.2500 0.4811
F2 F 0.2500 0.0112 0.2500
```

[2]
The following is a computed PXRD pattern of SbOF3. It was derived from a DFT-relaxed cell (PBE, Alexandria), using Cu Kα.

Top 12 peaks for 2θ from 5° to 70°, by intensity:
- 2θ 21.63, d = 4.108 Å, intensity 100
- 2θ 13.63, d = 6.495 Å, intensity 66
- 2θ 25.54, d = 3.488 Å, intensity 60
- 2θ 39.21, d = 2.297 Å, intensity 49
- 2θ 27.35, d = 3.261 Å, intensity 34
- 2θ 56.65, d = 1.625 Å, intensity 22
- 2θ 55.66, d = 1.651 Å, intensity 18
- 2θ 37.85, d = 2.377 Å, intensity 18
- 2θ 47.40, d = 1.918 Å, intensity 17
- 2θ 53.48, d = 1.713 Å, intensity 16
- 2θ 63.89, d = 1.457 Å, intensity 15
- 2θ 30.78, d = 2.905 Å, intensity 13

Structure:
```
data_SbOF3
_cell_length_a 9.1854
_cell_length_b 9.1854
_cell_length_c 3.7701
_cell_angle_alpha 90.00
_cell_angle_beta 90.00
_cell_angle_gamma 90.00
_symmetry_space_group_name_H-M 'P -4 21 m'
_symmetry_Int_Tables_number 113
loop_
_symmetry_equiv_pos_as_xyz
'x,y,z'
'y,-x,-z'
'-x,-y,z'
'-y,x,-z'
'x+1/2,-y+1/2,-z'
'y+1/2,x+1/2,z'
'-x+1/2,y+1/2,-z'
'-y+1/2,-x+1/2,z'
loop_
_atom_site_label
_atom_site_type_symbol
_atom_site_fract_x
_atom_site_fract_y
_atom_site_fract_z
Sb1 Sb 0.1316 0.3684 0.2543
O1 O 0.1108 0.3892 0.7543
F1 F 0.0953 0.5953 0.2542
F2 F 0.1116 0.1642 0.2540
```

[3]
The following is a computed PXRD pattern of Sc4O5F. It was derived from a DFT-relaxed cell (PBE, Alexandria), using Cu Kα.

Top 12 peaks for 2θ from 5° to 70°, by intensity:
- 2θ 29.37, d = 3.041 Å, intensity 100
- 2θ 32.46, d = 2.759 Å, intensity 98
- 2θ 51.03, d = 1.790 Å, intensity 83
- 2θ 59.85, d = 1.545 Å, intensity 27
- 2θ 48.82, d = 1.866 Å, intensity 18
- 2θ 65.21, d = 1.431 Å, intensity 18
- 2θ 56.78, d = 1.621 Å, intensity 17
- 2θ 58.25, d = 1.584 Å, intensity 17
- 2θ 36.72, d = 2.448 Å, intensity 16
- 2θ 34.67, d = 2.587 Å, intensity 13
- 2θ 40.12, d = 2.248 Å, intensity 13
- 2θ 60.10, d = 1.540 Å, intensity 10

Structure:
```
data_Sc4O5F
_cell_length_a 6.4854
_cell_length_b 7.4621
_cell_length_c 5.2483
_cell_angle_alpha 90.00
_cell_angle_beta 90.00
_cell_angle_gamma 90.00
_symmetry_space_group_name_H-M 'P m m n'
_symmetry_Int_Tables_number 59
loop_
_symmetry_equiv_pos_as_xyz
'x,y,z'
'-x,-y,-z'
'-x+1/2,-y+1/2,z'
'x+1/2,y+1/2,-z'
'x+1/2,-y,-z'
'-x+1/2,y,z'
'-x,y+1/2,-z'
'x,-y+1/2,z'
loop_
_atom_site_label
_atom_site_type_symbol
_atom_site_fract_x
_atom_site_fract_y
_atom_site_fract_z
Sc1 Sc 0.0062 0.2500 0.0086
Sc2 Sc 0.2500 0.0141 0.4837
O1 O 0.0052 0.0565 0.7472
O2 O 0.2500 0.2500 0.2831
F1 F 0.2500 0.7500 0.6815
```

[4]
The following is a computed PXRD pattern of Sc2OF3. It was derived from a DFT-relaxed cell (PBE, Alexandria), using Cu Kα.

Top 12 peaks for 2θ from 5° to 70°, by intensity:
- 2θ 37.70, d = 2.386 Å, intensity 100
- 2θ 22.30, d = 3.987 Å, intensity 76
- 2θ 55.47, d = 1.657 Å, intensity 41
- 2θ 53.27, d = 1.720 Å, intensity 39
- 2θ 58.45, d = 1.579 Å, intensity 25
- 2θ 30.00, d = 2.978 Å, intensity 24
- 2θ 67.09, d = 1.395 Å, intensity 14
- 2θ 62.35, d = 1.489 Å, intensity 3
- 2θ 14.87, d = 5.957 Å, intensity 2
- 2θ 46.31, d = 1.960 Å, intensity 1
- 2θ 51.41, d = 1.777 Å, intensity 1
- 2θ 48.14, d = 1.890 Å, intensity 1

Structure:
```
data_Sc2OF3
_cell_length_a 6.8782
_cell_length_b 6.8782
_cell_length_c 3.9866
_cell_angle_alpha 90.00
_cell_angle_beta 90.00
_cell_angle_gamma 120.00
_symmetry_space_group_name_H-M 'P -3 m 1'
_symmetry_Int_Tables_number 164
_symmetry_space_group_name_Hall '-P 3 2"'
loop_
_atom_site_label
_atom_site_type_symbol
_atom_site_fract_x
_atom_site_fract_y
_atom_site_fract_z
Sc1 Sc 0.0000 0.0000 0.0000
Sc2 Sc 0.0000 0.5000 0.0000
O1 O 0.3333 0.6667 0.8370
F1 F 0.1571 0.3141 0.2300
```

[5]
The following is a computed PXRD pattern of SeOF2. It was derived from a DFT-relaxed cell (PBE, Alexandria), using Cu Kα.

Top 12 peaks for 2θ from 5° to 70°, by intensity:
- 2θ 23.85, d = 3.731 Å, intensity 100
- 2θ 22.48, d = 3.956 Å, intensity 19
- 2θ 11.18, d = 7.911 Å, intensity 16
- 2θ 28.20, d = 3.164 Å, intensity 15
- 2θ 30.95, d = 2.889 Å, intensity 14
- 2θ 50.97, d = 1.792 Å, intensity 12
- 2θ 47.38, d = 1.919 Å, intensity 11
- 2θ 55.69, d = 1.650 Å, intensity 11
- 2θ 34.57, d = 2.595 Å, intensity 10
- 2θ 34.35, d = 2.610 Å, intensity 10
- 2θ 19.22, d = 4.619 Å, intensity 9
- 2θ 51.65, d = 1.770 Å, intensity 7

Structure:
```
data_SeOF2
_cell_length_a 5.6892
_cell_length_b 7.9114
_cell_length_c 6.3286
_cell_angle_alpha 90.00
_cell_angle_beta 90.00
_cell_angle_gamma 90.00
_symmetry_space_group_name_H-M 'P c a 21'
_symmetry_Int_Tables_number 29
loop_
_symmetry_equiv_pos_as_xyz
'x,y,z'
'-x,-y,z+1/2'
'-x+1/2,y,z+1/2'
'x+1/2,-y,z'
loop_
_atom_site_label
_atom_site_type_symbol
_atom_site_fract_x
_atom_site_fract_y
_atom_site_fract_z
Se1 Se 0.0439 0.1875 0.0000
O1 O 0.2422 0.0971 0.3697
F1 F 0.1301 0.7319 0.2862
F2 F 0.1606 0.3903 0.0532
```

[6]
The following is a computed PXRD pattern of SeOF2. It was derived from a DFT-relaxed cell (PBE, Alexandria), using Cu Kα.

Top 12 peaks for 2θ from 5° to 70°, by intensity:
- 2θ 20.39, d = 4.355 Å, intensity 100
- 2θ 33.04, d = 2.711 Å, intensity 87
- 2θ 22.15, d = 4.014 Å, intensity 78
- 2θ 23.92, d = 3.721 Å, intensity 74
- 2θ 24.21, d = 3.676 Å, intensity 56
- 2θ 26.40, d = 3.376 Å, intensity 43
- 2θ 30.28, d = 2.951 Å, intensity 42
- 2θ 44.70, d = 2.027 Å, intensity 34
- 2θ 37.73, d = 2.384 Å, intensity 31
- 2θ 39.52, d = 2.281 Å, intensity 30
- 2θ 26.67, d = 3.342 Å, intensity 25
- 2θ 51.91, d = 1.762 Å, intensity 24

Structure:
```
data_SeOF2
_cell_length_a 4.0853
_cell_length_b 8.0281
_cell_length_c 4.7815
_cell_angle_alpha 90.00
_cell_angle_beta 114.39
_cell_angle_gamma 90.00
_symmetry_space_group_name_H-M 'P 1 21/m 1'
_symmetry_Int_Tables_number 11
loop_
_symmetry_equiv_pos_as_xyz
'x,y,z'
'-x,-y,-z'
'-x,y+1/2,-z'
'x,-y+1/2,z'
loop_
_atom_site_label
_atom_site_type_symbol
_atom_site_fract_x
_atom_site_fract_y
_atom_site_fract_z
Se1 Se 0.0621 0.2500 0.0432
O1 O 0.4417 0.2500 0.3378
F1 F 0.1281 0.0897 0.8069
```

[7]
The following is a computed PXRD pattern of Sm2SeOF2. It was derived from a DFT-relaxed cell (PBE, Alexandria), using Cu Kα.

Top 12 peaks for 2θ from 5° to 70°, by intensity:
- 2θ 27.02, d = 3.300 Å, intensity 100
- 2θ 30.60, d = 2.922 Å, intensity 98
- 2θ 32.44, d = 2.760 Å, intensity 76
- 2θ 35.04, d = 2.561 Å, intensity 49
- 2θ 47.74, d = 1.905 Å, intensity 49
- 2θ 35.87, d = 2.504 Å, intensity 44
- 2θ 53.70, d = 1.707 Å, intensity 41
- 2θ 12.89, d = 6.869 Å, intensity 37
- 2θ 47.30, d = 1.922 Å, intensity 32
- 2θ 69.47, d = 1.353 Å, intensity 31
- 2θ 7.43, d = 11.897 Å, intensity 29
- 2θ 55.32, d = 1.661 Å, intensity 29

Structure:
```
data_Sm2SeOF2
_cell_length_a 13.7370
_cell_length_b 13.7370
_cell_length_c 3.8438
_cell_angle_alpha 90.00
_cell_angle_beta 90.00
_cell_angle_gamma 120.00
_symmetry_space_group_name_H-M 'P 63/m'
_symmetry_Int_Tables_number 176
_symmetry_space_group_name_Hall '-P 6c'
loop_
_atom_site_label
_atom_site_type_symbol
_atom_site_fract_x
_atom_site_fract_y
_atom_site_fract_z
Sm1 Sm 0.0553 0.7654 0.2500
Sm2 Sm 0.1182 0.5153 0.2500
Se1 Se 0.2058 0.7183 0.7500
O1 O 0.0146 0.4273 0.7500
F1 F 0.0672 0.3157 0.2500
F2 F 0.1021 0.8920 0.7500
```

[8]
The following is a computed PXRD pattern of Tb2SeOF2. It was derived from a DFT-relaxed cell (PBE, Alexandria), using Cu Kα.

Top 12 peaks for 2θ from 5° to 70°, by intensity:
- 2θ 27.52, d = 3.241 Å, intensity 100
- 2θ 31.23, d = 2.864 Å, intensity 97
- 2θ 33.11, d = 2.706 Å, intensity 74
- 2θ 35.75, d = 2.511 Å, intensity 45
- 2θ 48.65, d = 1.871 Å, intensity 45
- 2θ 36.60, d = 2.455 Å, intensity 41
- 2θ 54.79, d = 1.675 Å, intensity 39
- 2θ 13.12, d = 6.748 Å, intensity 37
- 2θ 48.40, d = 1.881 Å, intensity 30
- 2θ 56.58, d = 1.627 Å, intensity 28
- 2θ 47.75, d = 1.905 Å, intensity 28
- 2θ 7.56, d = 11.687 Å, intensity 27

Structure:
```
data_Tb2SeOF2
_cell_length_a 13.4951
_cell_length_b 13.4951
_cell_length_c 3.7613
_cell_angle_alpha 90.00
_cell_angle_beta 90.00
_cell_angle_gamma 120.00
_symmetry_space_group_name_H-M 'P 63/m'
_symmetry_Int_Tables_number 176
_symmetry_space_group_name_Hall '-P 6c'
loop_
_atom_site_label
_atom_site_type_symbol
_atom_site_fract_x
_atom_site_fract_y
_atom_site_fract_z
Tb1 Tb 0.0554 0.7655 0.2500
Tb2 Tb 0.1171 0.5147 0.2500
Se1 Se 0.2065 0.7185 0.7500
O1 O 0.0143 0.4270 0.7500
F1 F 0.0668 0.3155 0.2500
F2 F 0.1019 0.8929 0.7500
```